For Ce6Se4S, a GGA-PBE-relaxed structure gives the theoretical PXRD pattern in this record (Cu Kα X-rays).

Crystal structure
Unit cell a=11.5806 b=11.5806 c=14.4899 alpha=90.00 beta=90.00 gamma=120.00
Space group R-3c (No. 167, hexagonal axes)
Inequivalent atoms, fractional coordinates:
1 Ce 0.0334 0.2020 0.3887 (multiplicity 36)
2 Se 0.0000 0.0000 0.2500 (multiplicity 6)
3 Se 0.0000 0.3874 0.2500 (multiplicity 18)
4 S 0.0000 0.0000 0.0000 (multiplicity 6)

Most intense lines, 2θ = 5–70°, low angle first:
| 2theta | intensity | h k l |
| --- | --- | --- |
| 24.27 | 26 | 2 1 1 |
| 26.16 | 39 | 1 0 4 |
| 26.54 | 34 | 1 2 2 |
| 32.78 | 80 | 1 3 1 |
| 34.24 | 62 | 2 1 4 |
| 36.17 | 100 | 2 2 3 |
| 37.23 | 17 | 0 0 6 |
| 39.13 | 17 | 1 2 5 |
| 41.23 | 25 | 4 1 0 |
| 51.10 | 17 | 5 1 1 |
| 55.32 | 16 | 1 3 7 |
| 66.53 | 23 | 5 3 2 |

***

For SiHg2F6, a GGA-PBE-relaxed structure gives the theoretical PXRD pattern in this record (Cu Kα X-rays).

Crystal structure
Unit cell a=5.8152 b=5.8152 c=18.8173 alpha=90.00 beta=90.00 gamma=120.00
Space group R3 (No. 146, hexagonal axes)
Inequivalent atoms, fractional coordinates:
1 Si 0.0000 0.0000 0.0000 (multiplicity 3)
2 Hg 0.0000 0.0000 0.1727 (multiplicity 3)
3 Hg 0.0000 0.0000 0.3105 (multiplicity 3)
4 F 0.0557 0.5270 0.7257 (multiplicity 9)
5 F 0.1918 0.8064 0.6193 (multiplicity 9)

Most intense lines, 2θ = 5–70°, low angle first:
| 2theta | intensity | h k l |
| --- | --- | --- |
| 18.24 | 100 | 1 0 1 |
| 20.00 | 18 | 0 1 2 |
| 29.63 | 10 | 0 1 5 |
| 30.75 | 33 | 1 1 0 |
| 35.98 | 18 | 0 2 1 |
| 36.96 | 14 | 2 0 2 |
| 37.94 | 17 | 1 0 7 |
| 42.40 | 37 | 2 -1 6 |
| 48.04 | 16 | 2 1 1 |
| 49.61 | 12 | 0 2 7 |
| 59.51 | 10 | 2 1 7 |
| 62.79 | 14 | 0 3 6 |

***

For Ca2In2Sn7, a GGA-PBE-relaxed structure gives the theoretical PXRD pattern in this record (Cu Kα X-rays).

Crystal structure
Unit cell a=4.293 b=10.745 c=14.117 alpha=90.00 beta=90.00 gamma=90.00
Space group Immm (No. 71)
Inequivalent atoms, fractional coordinates:
1 Ca 0.000 0.000 0.174 (multiplicity 4)
2 In 0.000 0.207 0.000 (multiplicity 4)
3 Sn 0.000 0.000 0.398 (multiplicity 4)
4 Sn 0.000 0.324 0.191 (multiplicity 8)
5 Sn 0.000 0.500 0.500 (multiplicity 2)

Most intense lines, 2θ = 5–70°, low angle first:
| 2theta | intensity | h k l |
| --- | --- | --- |
| 20.61 | 41 | 0 1 3 |
| 27.33 | 100 | 1 2 1 |
| 31.39 | 24 | 0 3 3 |
| 32.56 | 25 | 1 3 0 |
| 33.92 | 16 | 1 1 4 |
| 35.02 | 60 | 1 3 2 |
| 38.15 | 47 | 1 0 5 |
| 40.69 | 26 | 0 3 5 |
| 41.63 | 22 | 1 3 4 |
| 42.10 | 32 | 2 0 0 |
| 59.99 | 17 | 2 3 5 |
| 68.17 | 18 | 2 6 0 |

***

Which formula does entry 1 have?
Ce6Se4S